No. 1
Starting from a DFT-relaxed cell (PBE, Alexandria), the XRD peak list of Ac12AlGe6 was calculated for copper Kα.

Top 10 peaks for 10° ≤ 2θ ≤ 80°, in order of rising 2θ:
d [Å]  intensity
3.904  17
3.492  47
3.188  48
2.951  100
2.760  18
2.165  17
1.894  49
1.791  39
1.562  21
1.284  19

Structural model:
Cell: 9.5625 9.5625 9.5625 Å, 109.47 109.47 109.47°
Element x y z (fractional)
Ac  0.1091  0.8128  0.2963
Ac  0.1872  0.2963  0.4836
Ac  0.1872  0.7037  0.8909
Ac  0.2963  0.1091  0.8128
Ac  0.2963  0.4836  0.1872
Ac  0.4836  0.1872  0.2963
Ac  0.5164  0.8128  0.7037
Ac  0.7037  0.5164  0.8128
Ac  0.7037  0.8909  0.1872
Ac  0.8128  0.2963  0.1091
Ac  0.8128  0.7037  0.5164
Ac  0.8909  0.1872  0.7037
Al  0.0000  0.0000  0.0000
Ge  0.1152  0.6152  0.5000
Ge  0.3848  0.5000  0.8848
Ge  0.5000  0.1152  0.6152
Ge  0.5000  0.8848  0.3848
Ge  0.6152  0.5000  0.1152
Ge  0.8848  0.3848  0.5000

***

No. 2
Starting from a DFT-relaxed cell (PBE, Alexandria), the XRD peak list of AcAl2GeH2 was calculated for copper Kα.

Top 10 peaks for 10° ≤ 2θ ≤ 80°, in order of rising 2θ:
d [Å]  intensity
5.784  100
3.969  78
3.936  83
3.050  46
2.902  42
2.861  90
2.824  91
2.719  50
2.594  82
2.103  69

Structural model:
Cell: 6.1017 5.8045 6.4889 Å, 90.00 116.95 90.00°
Element x y z (fractional)
Ac  0.2399  0.2500  0.4854
Ac  0.7601  0.7500  0.5146
Al  0.2585  0.5039  0.9837
Al  0.2585  0.9961  0.9837
Al  0.7415  0.0039  0.0163
Al  0.7415  0.4961  0.0163
Ge  0.1446  0.7500  0.2675
Ge  0.8554  0.2500  0.7325
H  0.3727  0.2500  0.1795
H  0.4415  0.2500  0.9011
H  0.5585  0.7500  0.0989
H  0.6273  0.7500  0.8205

***

No. 3
Starting from a DFT-relaxed cell (PBE, Alexandria), the XRD peak list of AcLaAlGe was calculated for copper Kα.

Top 10 peaks for 10° ≤ 2θ ≤ 80°, in order of rising 2θ:
d [Å]  intensity
4.456  10
3.859  37
2.729  100
2.228  12
1.929  18
1.726  16
1.575  38
1.364  12
1.286  8
1.220  17

Structural model:
Cell: 5.4572 5.4572 5.4572 Å, 60.00 60.00 60.00°
Element x y z (fractional)
Ac  0.0000  0.0000  0.0000
La  0.5000  0.5000  0.5000
Al  0.7500  0.7500  0.7500
Ge  0.2500  0.2500  0.2500

***

No. 4
Starting from a DFT-relaxed cell (PBE, Alexandria), the XRD peak list of Ac2La2AlGe4 was calculated for copper Kα.

Top 10 peaks for 10° ≤ 2θ ≤ 80°, in order of rising 2θ:
d [Å]  intensity
3.690  23
3.429  16
2.865  100
2.805  11
2.609  53
2.085  10
1.845  19
1.714  15
1.551  32
1.271  10

Structural model:
Cell: 6.9222 6.9222 6.9222 Å, 115.58 115.58 97.84°
Element x y z (fractional)
Ac  0.2500  0.7500  0.5000
Ac  0.7500  0.2500  0.5000
La  0.1822  0.1822  0.0000
La  0.8178  0.8178  0.0000
Al  0.5000  0.5000  0.0000
Ge  0.2569  0.2569  0.5138
Ge  0.2569  0.7431  0.0000
Ge  0.7431  0.2569  0.0000
Ge  0.7431  0.7431  0.4862

***

No. 5
Starting from a DFT-relaxed cell (PBE, Alexandria), the XRD peak list of Ac2AlNi3Ge4 was calculated for copper Kα.

Top 10 peaks for 10° ≤ 2θ ≤ 80°, in order of rising 2θ:
d [Å]  intensity
3.950  29
3.019  32
2.695  76
2.612  100
2.134  49
1.873  29
1.673  37
1.509  16
1.408  23
1.307  25

Structural model:
Cell: 4.2689 4.2689 10.4234 Å, 90.00 90.00 90.00°
Element x y z (fractional)
Ac  0.0000  0.5000  0.2410
Ac  0.5000  0.0000  0.7590
Al  0.0000  0.0000  0.5000
Ni  0.0000  0.5000  0.8806
Ni  0.5000  0.0000  0.1194
Ni  0.5000  0.5000  0.5000
Ge  0.0000  0.0000  0.0000
Ge  0.0000  0.5000  0.6405
Ge  0.5000  0.0000  0.3595
Ge  0.5000  0.5000  0.0000

***

No. 6
Starting from a DFT-relaxed cell (PBE, Alexandria), the XRD peak list of Ac2AlGeO6 was calculated for copper Kα.

Top 10 peaks for 10° ≤ 2θ ≤ 80°, in order of rising 2θ:
d [Å]  intensity
4.021  20
3.981  41
2.829  100
2.815  50
2.306  41
1.990  29
1.636  20
1.628  41
1.415  18
1.259  18

Structural model:
Cell: 3.9809 3.9809 8.0421 Å, 90.00 90.00 90.00°
Element x y z (fractional)
Ac  0.0000  0.0000  0.2418
Ac  0.0000  0.0000  0.7582
Al  0.5000  0.5000  0.0000
Ge  0.5000  0.5000  0.5000
O  0.0000  0.5000  0.0000
O  0.0000  0.5000  0.5000
O  0.5000  0.0000  0.0000
O  0.5000  0.0000  0.5000
O  0.5000  0.5000  0.2328
O  0.5000  0.5000  0.7672

***

No. 7
Starting from a DFT-relaxed cell (PBE, Alexandria), the XRD peak list of Ac2AlGePd6 was calculated for copper Kα.

Top 10 peaks for 10° ≤ 2θ ≤ 80°, in order of rising 2θ:
d [Å]  intensity
3.261  35
3.232  36
3.170  42
3.087  50
3.038  47
2.400  100
2.351  79
2.243  60
2.202  34
2.175  33

Structural model:
Cell: 6.7206 6.7206 8.3825 Å, 127.81 127.81 50.00°
Element x y z (fractional)
Ac  0.2497  0.2497  0.2177
Ac  0.7503  0.7503  0.7823
Al  0.5000  0.5000  0.0000
Ge  0.0000  0.0000  0.5000
Pd  0.2474  0.7465  0.7470
Pd  0.2519  0.2519  0.6127
Pd  0.2535  0.7526  0.2530
Pd  0.7465  0.2474  0.7470
Pd  0.7481  0.7481  0.3873
Pd  0.7526  0.2535  0.2530

***

No. 8
Starting from a DFT-relaxed cell (PBE, Alexandria), the XRD peak list of AcPmAl2Ge was calculated for copper Kα.

Top 10 peaks for 10° ≤ 2θ ≤ 80°, in order of rising 2θ:
d [Å]  intensity
4.393  28
4.224  21
3.166  17
3.136  27
3.073  24
2.883  100
2.342  19
2.240  17
2.205  19
1.605  14

Structural model:
Cell: 7.1138 7.1138 7.1138 Å, 143.29 141.56 54.20°
Element x y z (fractional)
Ac  0.0000  0.0000  0.0000
Pm  0.2582  0.7582  0.5000
Al  0.6082  0.6082  0.0000
Al  0.7351  0.2351  0.5000
Ge  0.4069  0.4069  0.0000